[1]
Diffraction record for HfCrO4. The X-ray powder pattern is calculated, not measured: it uses a DFT-relaxed cell (PBE+U, the Materials Project) and Cu Kα, 1.54184 Å.
Neutral-atom scattering factors, no anomalous dispersion.

Largest 10 diffraction maxima, low angle first, 2θ from 15° to 90°:
Position (°2θ)  I/Imax
23.4  27
27.2  82
27.4  100
29.7  81
36.0  24
36.6  24
47.5  25
53.1  24
53.5  26
54.0  28

Atomic structure:
Unit cell a=4.906 b=4.709 c=11.722 alpha=90.00 beta=91.05 gamma=90.00
Space group P2_1/c (No. 14)
Asymmetric unit:
Hf 0.237 0.005 0.331 x4
Cr 0.259 0.502 0.569 x4
O 0.072 0.222 0.946 x4
O 0.088 0.228 0.189 x4
O 0.412 0.716 0.686 x4
O 0.436 0.735 0.446 x4



[2]
Diffraction record for Sr2HfCrO6. The X-ray powder pattern is calculated, not measured: it uses a DFT-relaxed cell (PBE+U, the Materials Project) and Cu Kα, 1.54184 Å.
Neutral-atom scattering factors, no anomalous dispersion.

Largest 10 diffraction maxima, low angle first, 2θ from 15° to 90°:
Position (°2θ)  I/Imax
19.2  31
31.6  100
31.7  49
37.4  14
45.0  17
45.5  32
56.1  15
56.4  39
65.8  10
65.9  10

Atomic structure:
Unit cell a=9.833 b=5.639 c=9.852 alpha=90.00 beta=110.04 gamma=90.00
Space group C2/m (No. 12)
Asymmetric unit:
Sr 0.125 0.000 0.375 x4
Sr 0.125 0.500 0.875 x4
Hf 0.250 0.000 0.750 x4
Cr 0.000 0.000 0.000 x2
Cr 0.000 0.500 0.500 x2
O 0.120 0.241 0.121 x8
O 0.121 0.258 0.621 x8
O 0.121 0.500 0.378 x4
O 0.123 0.000 0.878 x4



[3]
Diffraction record for CrHg5O6. The X-ray powder pattern is calculated, not measured: it uses a DFT-relaxed cell (PBE+U, the Materials Project) and Cu Kα, 1.54184 Å.
Neutral-atom scattering factors, no anomalous dispersion.

Largest 10 diffraction maxima, low angle first, 2θ from 15° to 90°:
Position (°2θ)  I/Imax
24.1  35
26.3  76
29.4  100
32.5  61
32.9  44
34.9  36
35.7  33
45.9  27
50.3  26
54.1  33

Atomic structure:
Unit cell a=11.529 b=11.897 c=6.850 alpha=90.00 beta=97.95 gamma=90.00
Space group C2/c (No. 15)
Asymmetric unit:
Cr 0.000 0.183 0.250 x4
Hg 0.000 0.500 0.000 x4
Hg 0.160 0.274 0.790 x8
Hg 0.223 0.074 0.697 x8
O 0.006 0.265 0.053 x8
O 0.120 0.103 0.293 x8
O 0.140 0.452 0.854 x8



[4]
Diffraction record for CrHgO4. The X-ray powder pattern is calculated, not measured: it uses a DFT-relaxed cell (PBE+U, the Materials Project) and Cu Kα, 1.54184 Å.
Neutral-atom scattering factors, no anomalous dispersion.

Largest 10 diffraction maxima, low angle first, 2θ from 15° to 90°:
Position (°2θ)  I/Imax
15.3  44
18.8  28
20.1  27
25.7  37
27.6  50
28.8  100
31.2  32
32.1  27
36.6  31
47.0  24

Atomic structure:
Unit cell a=5.605 b=8.856 c=9.102 alpha=90.00 beta=122.52 gamma=90.00
Space group P2_1/c (No. 14)
Asymmetric unit:
Cr 0.129 0.191 0.342 x4
Hg 0.411 0.538 0.666 x4
O 0.114 0.107 0.168 x4
O 0.198 0.724 0.213 x4
O 0.280 0.080 0.510 x4
O 0.312 0.142 0.893 x4